Starting from a crystal structure in Alexandria, relaxed with GGA+U, the powder diffractogram of AcVWO6 was computed for a wavelength of 1.5418 Å.

Crystal structure
a b c (Å): 5.2983 5.2983 5.3502
angles (deg): 90.00 90.00 120.00
Space group P312 (No. 149)
Inequivalent atoms, fractional coordinates:
Ac (0.0000, 0.0000, 0.0000) x1
V (0.3333, 0.6667, 0.5000) x1
W (0.6667, 0.3333, 0.5000) x1
O (0.0057, 0.3786, 0.7039) x6

Top 12 peaks for 10° ≤ 2θ ≤ 90°, in order of rising 2θ:
2θ/deg  intensity  (hkl)
19.34  15  1 0 0
25.58  100  1 0 1
33.50  9  0 0 2
33.84  31  1 1 0
42.89  24  2 0 1
48.35  34  2 -1 2
55.26  12  1 0 3
55.72  24  3 -1 1
60.54  10  3 0 0
66.39  8  2 0 3
76.64  9  2 1 3
77.02  10  3 1 1